Entry 1:
The following is a computed powder diffractogram of LaSm3. It was derived from a cell relaxed with PBE, using Cu Ka.

Main lines, low angle first (10° ≤ 2θ ≤ 90°):
- (2 0 0), 28.09 deg, I 23.2
- (0 0 2), 29.77 deg, I 26.6
- (2 0 1), 31.88 deg, I 100.0
- (2 0 2), 41.39 deg, I 16.3
- (2 2 0), 49.72 deg, I 19.2
- (2 0 3), 54.19 deg, I 22.3
- (2 2 2), 59.03 deg, I 23.0
- (4 0 1), 60.28 deg, I 16.2

Atomic structure:
```
data_LaSm3
_chemical_formula_sum 'La2 Sm6'
_cell_length_a 7.3357
_cell_length_b 7.3357
_cell_length_c 6.0013
_cell_angle_alpha 90.00
_cell_angle_beta 90.00
_cell_angle_gamma 120.00
_symmetry_space_group_name_H-M 'P 63/m m c'
_symmetry_Int_Tables_number 194
_symmetry_space_group_name_Hall '-P 6c 2c'
loop_
_atom_site_label
_atom_site_fract_x
_atom_site_fract_y
_atom_site_fract_z
_atom_site_occupancy
La1 0.3333 0.6667 0.2500 1
Sm1 0.1654 0.3308 0.7500 1
```



Entry 2:
The following is a computed powder diffractogram of DyCdAu2. It was derived from a cell relaxed with PBE, using Cu Ka.

Main lines, low angle first (10° ≤ 2θ ≤ 90°):
- (2 0 0), 25.49 deg, I 3.8
- (2 2 0), 36.37 deg, I 100.0
- (2 2 2), 44.94 deg, I 1.3
- (4 0 0), 52.37 deg, I 17.6
- (4 2 0), 59.13 deg, I 1.8
- (4 2 2), 65.43 deg, I 36.1
- (4 4 0), 77.23 deg, I 11.4
- (6 2 0), 88.50 deg, I 16.9

Atomic structure:
```
data_DyCdAu2
_chemical_formula_sum 'Dy4 Cd4 Au8'
_cell_length_a 6.9877
_cell_length_b 6.9877
_cell_length_c 6.9877
_cell_angle_alpha 90.00
_cell_angle_beta 90.00
_cell_angle_gamma 90.00
_symmetry_space_group_name_H-M 'F m -3 m'
_symmetry_Int_Tables_number 225
_symmetry_space_group_name_Hall '-F 4 2 3'
loop_
_atom_site_label
_atom_site_fract_x
_atom_site_fract_y
_atom_site_fract_z
_atom_site_occupancy
Dy1 0.0000 0.0000 0.0000 1
Cd1 0.0000 0.0000 0.5000 1
Au1 0.2500 0.2500 0.2500 1
```



Entry 3:
The following is a computed powder diffractogram of TlBiP2S7. It was derived from a cell relaxed with PBE, using Cu Ka.

Main lines, low angle first (10° ≤ 2θ ≤ 90°):
- (0 1 1), 11.91 deg, I 68.5
- (1 2 -1), 19.32 deg, I 71.1
- (2 1 0), 19.49 deg, I 100.0
- (1 0 -2), 21.29 deg, I 46.6
- (1 1 -2), 22.44 deg, I 57.8
- (1 3 -1), 24.98 deg, I 74.5
- (2 2 1), 25.06 deg, I 83.7
- (1 4 1), 31.35 deg, I 63.9

Atomic structure:
```
data_TlBiP2S7
_chemical_formula_sum 'Tl4 Bi4 P8 S28'
_cell_length_a 9.7693
_cell_length_b 12.6259
_cell_length_c 9.1964
_cell_angle_alpha 90.00
_cell_angle_beta 90.45
_cell_angle_gamma 90.00
_symmetry_space_group_name_H-M 'P 1 21/c 1'
_symmetry_Int_Tables_number 14
loop_
_symmetry_equiv_pos_as_xyz
'x,y,z'
'-x,-y,-z'
'-x,y+1/2,-z+1/2'
'x,-y+1/2,z+1/2'
loop_
_atom_site_label
_atom_site_fract_x
_atom_site_fract_y
_atom_site_fract_z
_atom_site_occupancy
Tl1 0.1172 0.1879 0.1201 1
Bi1 0.3445 0.6369 0.6225 1
P1 0.2246 0.6059 0.9813 1
P2 0.3205 0.0363 0.8012 1
S1 0.1214 0.7085 0.1105 1
S2 0.1294 0.5554 0.7951 1
S3 0.1701 0.5286 0.4276 1
S4 0.2485 0.0469 0.5809 1
S5 0.3485 0.1914 0.8479 1
S6 0.4065 0.6742 0.9286 1
S7 0.4941 0.5521 0.3162 1
```



Entry 4:
The following is a computed powder diffractogram of LaMg6V. It was derived from a cell relaxed with PBE, using Cu Ka.

Main lines, low angle first (10° ≤ 2θ ≤ 90°):
- (0 1 1), 15.42 deg, I 94.5
- (1 0 2), 23.27 deg, I 65.4
- (0 2 2), 31.08 deg, I 33.3
- (1 1 3), 32.19 deg, I 28.6
- (2 0 0), 35.02 deg, I 36.5
- (1 2 2), 35.79 deg, I 100.0
- (1 0 4), 35.95 deg, I 55.8
- (0 2 6), 55.53 deg, I 26.5

Atomic structure:
```
data_LaMg6V
_chemical_formula_sum 'La2 Mg12 V2'
_cell_length_a 5.1249
_cell_length_b 6.6571
_cell_length_c 11.4458
_cell_angle_alpha 90.00
_cell_angle_beta 90.00
_cell_angle_gamma 90.00
_symmetry_space_group_name_H-M 'A m m 2'
_symmetry_Int_Tables_number 38
loop_
_symmetry_equiv_pos_as_xyz
'x,y,z'
'-x,-y,z'
'-x,y,z'
'x,-y,z'
'x,y+1/2,z+1/2'
'-x,-y+1/2,z+1/2'
'-x,y+1/2,z+1/2'
'x,-y+1/2,z+1/2'
loop_
_atom_site_label
_atom_site_fract_x
_atom_site_fract_y
_atom_site_fract_z
_atom_site_occupancy
La1 0.0000 0.0000 0.0000 1
Mg1 0.0000 0.0000 0.4868 1
Mg2 0.0000 0.2410 0.2443 1
Mg3 0.5000 0.0000 0.6590 1
Mg4 0.5000 0.2398 0.4039 1
V1 0.5000 0.0000 0.1596 1
```



Entry 5:
The following is a computed powder diffractogram of Mg14CdC. It was derived from a cell relaxed with PBE, using Cu Ka.

Main lines, low angle first (10° ≤ 2θ ≤ 90°):
- (0 1 1), 15.58 deg, I 17.4
- (1 1 1), 18.12 deg, I 31.4
- (2 1 1), 24.24 deg, I 23.6
- (0 2 2), 31.46 deg, I 16.8
- (0 0 4), 33.11 deg, I 18.6
- (2 2 2), 36.71 deg, I 100.0
- (4 0 0), 37.40 deg, I 25.5
- (2 0 4), 38.16 deg, I 25.8

Atomic structure:
```
data_Mg14CdC
_chemical_formula_sum 'Mg28 Cd2 C2'
_cell_length_a 9.6184
_cell_length_b 6.6852
_cell_length_c 10.8233
_cell_angle_alpha 90.00
_cell_angle_beta 90.00
_cell_angle_gamma 90.00
_symmetry_space_group_name_H-M 'A m m 2'
_symmetry_Int_Tables_number 38
loop_
_symmetry_equiv_pos_as_xyz
'x,y,z'
'-x,-y,z'
'-x,y,z'
'x,-y,z'
'x,y+1/2,z+1/2'
'-x,-y+1/2,z+1/2'
'-x,y+1/2,z+1/2'
'x,-y+1/2,z+1/2'
loop_
_atom_site_label
_atom_site_fract_x
_atom_site_fract_y
_atom_site_fract_z
_atom_site_occupancy
Mg1 0.0000 0.0000 0.0000 1
Mg2 0.0000 0.0000 0.4990 1
Mg3 0.0000 0.2417 0.2432 1
Mg4 0.2448 0.0000 0.8229 1
Mg5 0.2590 0.0000 0.3276 1
Mg6 0.2887 0.2261 0.5678 1
Mg7 0.5000 0.2417 0.2866 1
Cd1 0.5000 0.0000 0.0090 1
C1 0.5000 0.0000 0.4340 1
```



Entry 6:
The following is a computed powder diffractogram of Th2Al. It was derived from a cell relaxed with PBE, using Cu Ka.

Main lines, low angle first (10° ≤ 2θ ≤ 90°):
- (2 1 1), 30.33 deg, I 100.0
- (0 0 2), 31.28 deg, I 17.3
- (3 1 0), 36.98 deg, I 18.2
- (3 1 2), 49.19 deg, I 10.6
- (4 1 1), 51.56 deg, I 15.4
- (2 1 3), 55.08 deg, I 19.5
- (3 3 2), 60.49 deg, I 13.4
- (5 2 1), 67.64 deg, I 14.2

Atomic structure:
```
data_Th2Al
_chemical_formula_sum 'Th8 Al4'
_cell_length_a 7.6874
_cell_length_b 7.6874
_cell_length_c 5.7198
_cell_angle_alpha 90.00
_cell_angle_beta 90.00
_cell_angle_gamma 90.00
_symmetry_space_group_name_H-M 'I 4/m c m'
_symmetry_Int_Tables_number 140
_symmetry_space_group_name_Hall '-I 4 2c'
loop_
_atom_site_label
_atom_site_fract_x
_atom_site_fract_y
_atom_site_fract_z
_atom_site_occupancy
Th1 0.1581 0.3419 0.0000 1
Al1 0.0000 0.0000 0.2500 1
```